(1)
Structure and theoretical powder diffraction line list of Pr2Tm3PuSe6 (a DFT-relaxed cell (PBE, Alexandria); CuKα).
Kinematic intensities with the Lorentz-polarization factor, no thermal factor.

```
data_Pr2Tm3PuSe6
_cell_length_a 18.113
_cell_length_b 4.062
_cell_length_c 8.374
_cell_angle_alpha 90.00
_cell_angle_beta 105.19
_cell_angle_gamma 90.00
_symmetry_space_group_name_H-M 'C 1 2/m 1'
_symmetry_Int_Tables_number 12
loop_
_symmetry_equiv_pos_as_xyz
'x,y,z'
'-x,-y,-z'
'-x,y,-z'
'x,-y,z'
'x+1/2,y+1/2,z'
'-x+1/2,-y+1/2,-z'
'-x+1/2,y+1/2,-z'
'x+1/2,-y+1/2,z'
loop_
_atom_site_label
_atom_site_type_symbol
_atom_site_fract_x
_atom_site_fract_y
_atom_site_fract_z
Pr1 Pr 0.167 0.000 0.334
Tm1 Tm 0.000 0.500 0.500
Tm2 Tm 0.168 0.000 0.836
Pu1 Pu 0.000 0.500 0.000
Se1 Se 0.005 0.000 0.745
Se2 Se 0.161 0.500 0.597
Se3 Se 0.169 0.500 0.071
```

Largest 10 diffraction maxima, sorted by position, 15 to 90 degrees two-theta:
(hkl)  2θ (°)  I (rel.)
3 1 0  26.76  12.3
6 0 0  30.68  100.0
2 0 -4  43.24  12.7
7 1 -2  43.42  25.1
5 1 2  44.46  24.2
0 2 0  44.62  12.0
6 2 0  55.13  12.9
12 0 0  63.89  12.0
13 1 -2  71.79  10.9
11 1 2  73.29  10.9


(2)
Structure and theoretical powder diffraction line list of CaTbY2Bi4 (a DFT-relaxed cell (PBE, Alexandria); CuKα).
Kinematic intensities with the Lorentz-polarization factor, no thermal factor.

```
data_CaTbY2Bi4
_cell_length_a 7.844
_cell_length_b 4.485
_cell_length_c 7.848
_cell_angle_alpha 90.00
_cell_angle_beta 109.10
_cell_angle_gamma 90.00
_symmetry_space_group_name_H-M 'P 1 2/m 1'
_symmetry_Int_Tables_number 10
loop_
_symmetry_equiv_pos_as_xyz
'x,y,z'
'-x,-y,-z'
'-x,y,-z'
'x,-y,z'
loop_
_atom_site_label
_atom_site_type_symbol
_atom_site_fract_x
_atom_site_fract_y
_atom_site_fract_z
Ca1 Ca 0.000 0.000 0.000
Tb1 Tb 0.500 0.500 0.000
Y1 Y 0.000 0.500 0.500
Y2 Y 0.500 0.000 0.500
Bi1 Bi 0.252 0.000 0.747
Bi2 Bi 0.255 0.500 0.256
```

Largest 10 diffraction maxima, sorted by position, 15 to 90 degrees two-theta:
(hkl)  2θ (°)  I (rel.)
2 0 0  24.01  12.4
1 1 -1  24.25  12.2
1 1 1  27.93  100.0
2 0 2  39.61  13.2
3 1 -1  39.91  52.0
0 2 0  40.22  12.7
4 0 0  49.16  14.3
2 2 -2  49.67  13.9
4 0 -4  57.72  13.3
4 2 0  65.31  24.6


(3)
Structure and theoretical powder diffraction line list of Nd3SmCd8 (a DFT-relaxed cell (PBE, Alexandria); CuKα).
Kinematic intensities with the Lorentz-polarization factor, no thermal factor.

```
data_Nd3SmCd8
_cell_length_a 6.0083
_cell_length_b 6.0083
_cell_length_c 29.2750
_cell_angle_alpha 90.00
_cell_angle_beta 90.00
_cell_angle_gamma 120.00
_symmetry_space_group_name_H-M 'R 3 m'
_symmetry_Int_Tables_number 160
_symmetry_space_group_name_Hall 'R 3 -2"'
loop_
_atom_site_label
_atom_site_type_symbol
_atom_site_fract_x
_atom_site_fract_y
_atom_site_fract_z
Nd1 Nd 0.0000 0.0000 0.0000
Nd2 Nd 0.0000 0.0000 0.1245
Nd3 Nd 0.0000 0.0000 0.6244
Sm1 Sm 0.0000 0.0000 0.5001
Cd1 Cd 0.0000 0.0000 0.3123
Cd2 Cd 0.0000 0.0000 0.8122
Cd3 Cd 0.0004 0.5002 0.0625
Cd4 Cd 0.9997 0.4999 0.5620
```

Largest 10 diffraction maxima, sorted by position, 15 to 90 degrees two-theta:
(hkl)  2θ (°)  I (rel.)
1 1 0  29.74  23.2
0 1 8  29.85  22.9
2 0 2  35.06  100.0
1 0 10  35.17  33.8
0 2 4  36.66  33.3
3 0 6  56.29  16.5
2 1 10  56.39  25.0
2 2 0  61.76  18.5
0 2 16  62.01  18.3
3 2 10  88.41  14.2


(4)
Structure and theoretical powder diffraction line list of Sc6Tl2Pb (a DFT-relaxed cell (PBE, Alexandria); CuKα).
Kinematic intensities with the Lorentz-polarization factor, no thermal factor.

```
data_Sc6Tl2Pb
_cell_length_a 9.598
_cell_length_b 9.598
_cell_length_c 4.686
_cell_angle_alpha 90.00
_cell_angle_beta 90.00
_cell_angle_gamma 90.00
_symmetry_space_group_name_H-M 'P 42/m n m'
_symmetry_Int_Tables_number 136
_symmetry_space_group_name_Hall '-P 4n 2n'
loop_
_atom_site_label
_atom_site_type_symbol
_atom_site_fract_x
_atom_site_fract_y
_atom_site_fract_z
Sc1 Sc 0.018 0.332 0.000
Sc2 Sc 0.137 0.863 0.500
Tl1 Tl 0.201 0.201 0.500
Pb1 Pb 0.000 0.000 0.000
```

Largest 10 diffraction maxima, sorted by position, 15 to 90 degrees two-theta:
(hkl)  2θ (°)  I (rel.)
2 1 0  20.69  14.1
1 1 1  23.07  37.2
2 2 0  26.26  23.3
2 1 1  28.19  26.2
3 0 1  33.93  100.0
3 1 1  35.23  25.9
0 0 2  38.42  22.7
3 3 0  39.85  25.6
5 2 1  55.13  17.2
3 3 2  56.55  18.0


(5)
Structure and theoretical powder diffraction line list of Li3Hg4Rh (a DFT-relaxed cell (PBE, Alexandria); CuKα).
Kinematic intensities with the Lorentz-polarization factor, no thermal factor.

```
data_Li3Hg4Rh
_cell_length_a 3.382
_cell_length_b 3.382
_cell_length_c 12.494
_cell_angle_alpha 90.00
_cell_angle_beta 90.00
_cell_angle_gamma 90.00
_symmetry_space_group_name_H-M 'P 4/m m m'
_symmetry_Int_Tables_number 123
_symmetry_space_group_name_Hall '-P 4 2'
loop_
_atom_site_label
_atom_site_type_symbol
_atom_site_fract_x
_atom_site_fract_y
_atom_site_fract_z
Li1 Li 0.000 0.000 0.000
Li2 Li 0.000 0.000 0.257
Hg1 Hg 0.500 0.500 0.125
Hg2 Hg 0.500 0.500 0.374
Rh1 Rh 0.000 0.000 0.500
```

Largest 10 diffraction maxima, sorted by position, 15 to 90 degrees two-theta:
(hkl)  2θ (°)  I (rel.)
1 0 0  26.35  75.6
0 0 4  28.58  31.1
1 1 0  37.61  56.2
1 0 4  39.26  100.0
1 1 4  47.91  31.3
2 0 0  54.24  19.8
2 1 0  61.29  15.2
2 0 4  62.45  14.4
2 1 4  68.99  38.8
1 1 8  72.25  17.0


(6)
Structure and theoretical powder diffraction line list of NaSr2Tl7Pb2 (a DFT-relaxed cell (PBE, Alexandria); CuKα).
Kinematic intensities with the Lorentz-polarization factor, no thermal factor.

```
data_NaSr2Tl7Pb2
_cell_length_a 6.787
_cell_length_b 6.771
_cell_length_c 17.341
_cell_angle_alpha 90.00
_cell_angle_beta 101.21
_cell_angle_gamma 90.00
_symmetry_space_group_name_H-M 'C 1 2/m 1'
_symmetry_Int_Tables_number 12
loop_
_symmetry_equiv_pos_as_xyz
'x,y,z'
'-x,-y,-z'
'-x,y,-z'
'x,-y,z'
'x+1/2,y+1/2,z'
'-x+1/2,-y+1/2,-z'
'-x+1/2,y+1/2,-z'
'x+1/2,-y+1/2,z'
loop_
_atom_site_label
_atom_site_type_symbol
_atom_site_fract_x
_atom_site_fract_y
_atom_site_fract_z
Na1 Na 0.000 0.000 0.000
Sr1 Sr 0.166 0.000 0.329
Tl1 Tl 0.000 0.500 0.000
Tl2 Tl 0.172 0.250 0.850
Tl3 Tl 0.236 0.500 0.469
Pb1 Pb 0.144 0.500 0.284
```

Largest 10 diffraction maxima, sorted by position, 15 to 90 degrees two-theta:
(hkl)  2θ (°)  I (rel.)
1 1 -1  18.69  33.1
2 0 -2  26.82  64.9
1 1 -5  30.11  25.2
2 0 2  30.73  81.4
0 0 6  31.56  19.8
2 0 -5  33.82  100.0
1 1 -6  34.51  19.9
2 2 -1  37.52  84.0
2 2 5  49.82  22.4
2 2 -8  53.72  23.4


(7)
Structure and theoretical powder diffraction line list of ErPu5P6 (a DFT-relaxed cell (PBE, Alexandria); CuKα).
Kinematic intensities with the Lorentz-polarization factor, no thermal factor.

```
data_ErPu5P6
_cell_length_a 6.907
_cell_length_b 11.961
_cell_length_c 6.880
_cell_angle_alpha 90.00
_cell_angle_beta 109.55
_cell_angle_gamma 90.00
_symmetry_space_group_name_H-M 'C 1 2/m 1'
_symmetry_Int_Tables_number 12
loop_
_symmetry_equiv_pos_as_xyz
'x,y,z'
'-x,-y,-z'
'-x,y,-z'
'x,-y,z'
'x+1/2,y+1/2,z'
'-x+1/2,-y+1/2,-z'
'-x+1/2,y+1/2,-z'
'x+1/2,-y+1/2,z'
loop_
_atom_site_label
_atom_site_type_symbol
_atom_site_fract_x
_atom_site_fract_y
_atom_site_fract_z
Er1 Er 0.000 0.000 0.000
Pu1 Pu 0.000 0.166 0.500
Pu2 Pu 0.000 0.333 0.000
Pu3 Pu 0.000 0.500 0.500
P1 P 0.248 0.500 0.250
P2 P 0.249 0.333 0.750
```

Largest 10 diffraction maxima, sorted by position, 15 to 90 degrees two-theta:
(hkl)  2θ (°)  I (rel.)
2 0 0  27.41  81.9
0 0 2  27.52  27.0
1 3 1  31.78  100.0
0 6 0  45.50  37.4
2 0 2  45.64  37.1
3 3 1  53.98  40.8
1 3 3  54.12  13.5
4 0 0  56.57  19.8
4 6 0  75.41  17.3
3 3 3  75.61  17.2


(8)
Structure and theoretical powder diffraction line list of AcNd3Ho2Se6 (a DFT-relaxed cell (PBE, Alexandria); CuKα).
Kinematic intensities with the Lorentz-polarization factor, no thermal factor.

```
data_AcNd3Ho2Se6
_cell_length_a 7.284
_cell_length_b 12.662
_cell_length_c 7.317
_cell_angle_alpha 90.00
_cell_angle_beta 109.59
_cell_angle_gamma 90.00
_symmetry_space_group_name_H-M 'C 1 2/m 1'
_symmetry_Int_Tables_number 12
loop_
_symmetry_equiv_pos_as_xyz
'x,y,z'
'-x,-y,-z'
'-x,y,-z'
'x,-y,z'
'x+1/2,y+1/2,z'
'-x+1/2,-y+1/2,-z'
'-x+1/2,y+1/2,-z'
'x+1/2,-y+1/2,z'
loop_
_atom_site_label
_atom_site_type_symbol
_atom_site_fract_x
_atom_site_fract_y
_atom_site_fract_z
Ac1 Ac 0.000 0.000 0.000
Nd1 Nd 0.000 0.157 0.500
Nd2 Nd 0.000 0.500 0.500
Ho1 Ho 0.000 0.333 0.000
Se1 Se 0.227 0.500 0.237
Se2 Se 0.242 0.324 0.753
```

Largest 10 diffraction maxima, sorted by position, 15 to 90 degrees two-theta:
(hkl)  2θ (°)  I (rel.)
0 0 2  25.86  17.1
2 0 -2  29.97  100.0
1 3 -3  42.83  37.1
2 0 2  42.98  36.8
1 3 3  50.76  7.9
0 0 4  53.16  19.4
4 0 -4  62.29  11.8
3 3 -5  70.55  16.2
5 3 -3  70.76  16.0
1 3 5  78.56  11.8


(9)
Structure and theoretical powder diffraction line list of Sr2ScCd16 (a DFT-relaxed cell (PBE, Alexandria); CuKα).
Kinematic intensities with the Lorentz-polarization factor, no thermal factor.

```
data_Sr2ScCd16
_cell_length_a 10.2415
_cell_length_b 10.2415
_cell_length_c 15.3041
_cell_angle_alpha 90.00
_cell_angle_beta 90.00
_cell_angle_gamma 120.00
_symmetry_space_group_name_H-M 'R 3 m'
_symmetry_Int_Tables_number 160
_symmetry_space_group_name_Hall 'R 3 -2"'
loop_
_atom_site_label
_atom_site_type_symbol
_atom_site_fract_x
_atom_site_fract_y
_atom_site_fract_z
Sr1 Sr 0.0000 0.0000 0.0000
Sr2 Sr 0.0000 0.0000 0.3227
Sc1 Sc 0.0000 0.0000 0.5737
Cd1 Cd 0.0000 0.0000 0.7744
Cd2 Cd 0.0006 0.2950 0.6570
Cd3 Cd 0.0056 0.5028 0.1573
Cd4 Cd 0.1673 0.3345 0.1349
Cd5 Cd 0.1757 0.3514 0.8426
```

Largest 10 diffraction maxima, sorted by position, 15 to 90 degrees two-theta:
(hkl)  2θ (°)  I (rel.)
1 1 0  17.32  21.5
3 0 0  30.23  14.9
0 2 4  30.87  18.9
2 2 0  35.07  100.0
0 0 6  35.18  27.3
2 0 5  35.63  23.7
2 2 3  39.39  72.0
6 0 0  62.87  13.9
0 3 9  63.07  12.0
4 4 0  74.10  15.5


(10)
Structure and theoretical powder diffraction line list of Ca3Y2Cd4 (a DFT-relaxed cell (PBE, Alexandria); CuKα).
Kinematic intensities with the Lorentz-polarization factor, no thermal factor.

```
data_Ca3Y2Cd4
_cell_length_a 5.3706
_cell_length_b 5.3706
_cell_length_c 10.2787
_cell_angle_alpha 90.00
_cell_angle_beta 90.00
_cell_angle_gamma 120.00
_symmetry_space_group_name_H-M 'P -3 m 1'
_symmetry_Int_Tables_number 164
_symmetry_space_group_name_Hall '-P 3 2"'
loop_
_atom_site_label
_atom_site_type_symbol
_atom_site_fract_x
_atom_site_fract_y
_atom_site_fract_z
Ca1 Ca 0.0000 0.0000 0.0000
Ca2 Ca 0.3333 0.6667 0.4160
Y1 Y 0.3333 0.6667 0.7942
Cd1 Cd 0.0000 0.0000 0.3315
Cd2 Cd 0.3333 0.6667 0.1043
```

Largest 10 diffraction maxima, sorted by position, 15 to 90 degrees two-theta:
(hkl)  2θ (°)  I (rel.)
1 0 1  20.96  23.4
0 1 3  32.46  100.0
1 1 0  33.37  98.3
2 0 3  47.24  33.7
1 0 6  57.31  15.6
1 2 3  59.06  33.4
3 0 0  59.64  17.1
2 2 0  70.08  10.3
2 1 6  77.86  12.3
3 1 3  79.37  13.7


(11)
Structure and theoretical powder diffraction line list of K6NbAs3O (a DFT-relaxed cell (PBE, Alexandria); CuKα).
Kinematic intensities with the Lorentz-polarization factor, no thermal factor.

```
data_K6NbAs3O
_cell_length_a 11.169
_cell_length_b 11.169
_cell_length_c 11.169
_cell_angle_alpha 90.00
_cell_angle_beta 90.00
_cell_angle_gamma 90.00
_symmetry_space_group_name_H-M 'P 21 3'
_symmetry_Int_Tables_number 198
_symmetry_space_group_name_Hall 'P 2ac 2ab 3'
loop_
_atom_site_label
_atom_site_type_symbol
_atom_site_fract_x
_atom_site_fract_y
_atom_site_fract_z
K1 K 0.035 0.282 0.866
K2 K 0.132 0.632 0.868
K3 K 0.159 0.159 0.159
K4 K 0.181 0.819 0.319
Nb1 Nb 0.072 0.428 0.572
As1 As 0.020 0.304 0.389
O1 O 0.168 0.332 0.668
```

Largest 10 diffraction maxima, sorted by position, 15 to 90 degrees two-theta:
(hkl)  2θ (°)  I (rel.)
2 0 1  17.76  15.9
2 1 1  19.47  28.6
3 2 0  28.82  33.7
3 1 2  29.93  100.0
4 1 0  33.07  27.2
4 2 0  35.96  25.2
4 1 2  36.88  11.6
5 0 1  41.21  16.0
5 2 2  46.72  15.6
5 4 0  52.46  18.2